(1)
Structure and calculated X-ray diffraction stick pattern of Sn5Te4Br (a DFT-relaxed cell (GGA-PBE, Alexandria); copper Kα).
Peak positions follow from Bragg's law for the DFT cell and can differ from measured ones.

Main lines, in order of falling intensity (2θ from 10° to 80°):
2theta, I/Imax
27.8, 100.0
39.8, 77.0
27.9, 50.2
48.3, 21.3
50.1, 20.2
38.6, 20.1
65.1, 18.2
40.7, 18.2
65.0, 17.7
70.7, 13.0

```
Sn5Te4Br
1.0
-2.2149 3.1994 11.6560
2.2149 -3.1994 11.6560
2.2149 3.1994 -11.6560
Sn Te Br
5 4 1
direct
0.0000 0.0000 0.0000
0.1963 0.1963 0.0000
0.3931 0.3931 0.0000
0.6069 0.6069 0.0000
0.8037 0.8037 0.0000
0.0992 0.5992 0.5000
0.2988 0.7988 0.5000
0.7012 0.2012 0.5000
0.9008 0.4008 0.5000
0.5000 0.0000 0.5000
```


(2)
Structure and calculated X-ray diffraction stick pattern of SnTe2Br (a DFT-relaxed cell (GGA-PBE, Alexandria); copper Kα).
Peak positions follow from Bragg's law for the DFT cell and can differ from measured ones.

Main lines, in order of falling intensity (2θ from 10° to 80°):
2theta, I/Imax
24.4, 100.0
28.7, 73.3
40.8, 69.4
41.3, 68.6
35.5, 51.0
23.7, 37.7
75.0, 23.3
59.5, 22.9
48.5, 15.6
51.1, 15.1

```
SnTe2Br
1.0
4.3725 0.0000 0.0000
-2.1863 3.7867 0.0000
0.0000 0.0000 27.2063
Sn Te Br
3 6 3
direct
0.0000 0.0000 0.0000
0.3333 0.6667 0.6667
0.6667 0.3333 0.3333
0.0000 0.0000 0.3970
0.0000 0.0000 0.6030
0.3333 0.6667 0.0637
0.3333 0.6667 0.2697
0.6667 0.3333 0.7303
0.6667 0.3333 0.9363
0.0000 0.0000 0.5000
0.3333 0.6667 0.1667
0.6667 0.3333 0.8333
```


(3)
Structure and calculated X-ray diffraction stick pattern of Ti2SnBr8 (a DFT-relaxed cell (GGA-PBE, Alexandria); copper Kα).
Peak positions follow from Bragg's law for the DFT cell and can differ from measured ones.

Main lines, in order of falling intensity (2θ from 10° to 80°):
2theta, I/Imax
24.9, 100.0
11.1, 68.6
25.7, 41.1
26.3, 40.2
43.0, 27.0
39.3, 27.0
18.3, 24.0
32.9, 22.3
43.4, 20.6
17.7, 19.8

```
Ti2SnBr8
1.0
7.0017 -4.8550 0.0000
7.0017 4.8550 0.0000
-0.9963 0.0000 6.9208
Ti Sn Br
2 1 8
direct
0.1951 0.1951 0.1413
0.8049 0.8049 0.8587
0.0000 0.0000 0.5000
0.0860 0.7052 0.7382
0.1838 0.1838 0.7889
0.2948 0.9140 0.2618
0.3588 0.3588 0.2858
0.6412 0.6412 0.7142
0.7052 0.0860 0.7382
0.8162 0.8162 0.2111
0.9140 0.2948 0.2618
```


(4)
Structure and calculated X-ray diffraction stick pattern of TlSn2Br4 (a DFT-relaxed cell (GGA-PBE, Alexandria); copper Kα).
Peak positions follow from Bragg's law for the DFT cell and can differ from measured ones.

Main lines, in order of falling intensity (2θ from 10° to 80°):
2theta, I/Imax
27.2, 100.0
30.6, 71.0
24.7, 64.7
17.6, 64.1
35.6, 63.6
30.7, 63.5
30.5, 63.0
26.3, 45.5
20.5, 42.0
37.5, 34.9

```
TlSn2Br4
1.0
7.4491 0.0000 0.0000
-2.2325 8.9058 0.0000
-2.2287 -4.3445 7.8079
Tl Sn Br
2 4 8
direct
0.0000 0.0000 0.0000
0.4984 0.7902 0.2082
0.2252 0.4048 0.6549
0.2358 0.8952 0.5836
0.7646 0.4149 0.1072
0.7746 0.3472 0.5977
0.2174 0.0368 0.3627
0.2245 0.5820 0.3548
0.2572 0.7571 0.8426
0.3182 0.3181 0.9299
0.6817 0.0708 0.6829
0.7486 0.1574 0.2472
0.7740 0.6456 0.4175
0.7888 0.6350 0.9637
```


(5)
Structure and calculated X-ray diffraction stick pattern of Tl4Sn2Br9 (a DFT-relaxed cell (GGA-PBE, Alexandria); copper Kα).
Peak positions follow from Bragg's law for the DFT cell and can differ from measured ones.

Main lines, in order of falling intensity (2θ from 10° to 80°):
2theta, I/Imax
33.5, 100.0
20.8, 71.3
39.1, 59.9
22.3, 49.7
30.7, 48.2
25.5, 48.0
15.2, 37.4
38.3, 36.7
52.4, 23.3
55.1, 22.3

```
Tl4Sn2Br9
1.0
7.9768 0.0000 0.0000
-3.9884 6.9082 0.0000
0.0000 0.0000 21.6656
Tl Sn Br
8 4 18
direct
0.3333 0.6667 0.1812
0.3333 0.6667 0.4785
0.3333 0.6667 0.6825
0.3333 0.6667 0.9840
0.6667 0.3333 0.0160
0.6667 0.3333 0.3175
0.6667 0.3333 0.5215
0.6667 0.3333 0.8188
0.0000 0.0000 0.1558
0.0000 0.0000 0.3482
0.0000 0.0000 0.6518
0.0000 0.0000 0.8442
0.0242 0.3205 0.0891
0.0421 0.7246 0.5822
0.0427 0.7442 0.2664
0.2558 0.2986 0.2664
0.2754 0.3175 0.5822
0.2963 0.9758 0.0891
0.2986 0.0427 0.7336
0.3175 0.0421 0.4178
0.3205 0.2963 0.9109
0.6795 0.7037 0.0891
0.6825 0.9579 0.5822
0.7014 0.9573 0.2664
0.7037 0.0242 0.9109
0.7246 0.6825 0.4178
0.7442 0.7014 0.7336
0.9573 0.2558 0.7336
0.9579 0.2754 0.4178
0.9758 0.6795 0.9109
```


(6)
Structure and calculated X-ray diffraction stick pattern of TlSnBr3 (a DFT-relaxed cell (GGA-PBE, Alexandria); copper Kα).
Peak positions follow from Bragg's law for the DFT cell and can differ from measured ones.

Main lines, in order of falling intensity (2θ from 10° to 80°):
2theta, I/Imax
26.9, 100.0
34.9, 58.0
28.6, 52.4
40.1, 47.8
40.4, 41.8
28.4, 28.9
19.0, 27.5
29.7, 25.6
59.3, 17.8
24.1, 15.7

```
TlSnBr3
1.0
10.4360 0.0000 0.0000
0.0000 4.4713 0.0000
0.0000 0.0000 15.7066
Tl Sn Br
4 4 12
direct
0.0321 0.2500 0.1674
0.4679 0.7500 0.6674
0.5321 0.2500 0.3326
0.9679 0.7500 0.8326
0.1756 0.7500 0.4464
0.3244 0.2500 0.9464
0.6756 0.7500 0.0536
0.8244 0.2500 0.5536
0.0067 0.2500 0.3822
0.1560 0.7500 0.0154
0.1938 0.2500 0.7909
0.3062 0.7500 0.2909
0.3440 0.2500 0.5154
0.4933 0.7500 0.8822
0.5067 0.2500 0.1178
0.6560 0.7500 0.4846
0.6938 0.2500 0.7091
0.8062 0.7500 0.2091
0.8440 0.2500 0.9846
0.9933 0.7500 0.6178
```